For CaAsH5W2O4, a cell relaxed with PBE+U gives the simulated X-ray powder pattern in this record (Cu Ka).
Peak positions follow from Bragg's law for the DFT cell and can differ from measured ones.

Crystal structure
```
data_CaAsH5W2O4
_chemical_formula_sum 'Ca4 As4 H20 W8 O16'
_cell_length_a 6.3786
_cell_length_b 20.1868
_cell_length_c 5.7789
_cell_angle_alpha 90.00
_cell_angle_beta 122.60
_cell_angle_gamma 90.00
_space_group_name_H-M_alt 'C 1 c 1'
_space_group_IT_number 9
loop_
_space_group_symop_operation_xyz
'x,y,z'
'x,-y,z+1/2'
'x+1/2,y+1/2,z'
'x+1/2,-y+1/2,z+1/2'
loop_
_atom_site_label
_atom_site_fract_x
_atom_site_fract_y
_atom_site_fract_z
Ca1 0.0000 0.0617 0.0000
As1 0.0347 0.4465 0.6925
H1 0.1889 0.3061 0.6215
H2 0.2274 0.3604 0.2558
H3 0.3140 0.0528 0.6556
H4 0.4405 0.2872 0.1554
H5 0.4433 0.2066 0.6596
W1 0.2961 0.2773 0.3848
W2 0.3272 0.2032 0.9315
O1 0.1521 0.1848 0.1589
O2 0.2605 0.4795 0.6395
O3 0.2962 0.0166 0.5227
O4 0.3046 0.0989 0.8692
```

Top 10 peaks for 10 to 90 degrees two-theta, by angle:
2θ (°)	d [Å]	intensity
17.6	5.047	99
20.3	4.385	100
25.4	3.504	94
32.3	2.768	85
33.8	2.648	66
34.5	2.596	78
35.0	2.562	48
38.0	2.368	77
38.9	2.314	52
40.3	2.240	46